Record 1
Structure and theoretical powder diffractogram of MoS2 (a GGA-PBE-relaxed structure; a wavelength of 1.5418 Å).
Lines closer than 0.1° are merged.

The 8 most intense peaks (2θ = 10–80°), by angle:
d_spacing, Rel. int., index
7.952, 100, 0 0 5
6.626, 27, 0 0 6
2.762, 16, 1 0 0
2.610, 10, 1 0 5
2.415, 30, 0 1 8
2.050, 25, 0 1 13
1.980, 12, 1 0 14
1.595, 11, 1 1 0

Cell and atoms:
a b c (Å): 3.1903 3.1903 39.7580
angles (deg): 90.00 90.00 120.00
Space group P-3m1 (No. 164)
Inequivalent atoms, fractional coordinates:
Mo 0.3333 0.6667 0.0936 [2 per cell]
Mo 0.3333 0.6667 0.7193 [2 per cell]
S 0.3333 0.6667 0.2413 [2 per cell]
S 0.3333 0.6667 0.3200 [2 per cell]
S 0.3333 0.6667 0.8671 [2 per cell]
S 0.3333 0.6667 0.9458 [2 per cell]

Record 2
Structure and theoretical powder diffractogram of PaC (a GGA-PBE-relaxed structure; a wavelength of 1.5418 Å).
Lines closer than 0.1° are merged.

The 6 most intense peaks (2θ = 10–80°), by angle:
d_spacing, Rel. int., index
2.930, 100, 1 1 1
2.537, 62, 2 0 0
1.794, 45, 2 2 0
1.530, 46, 3 1 1
1.465, 15, 2 2 2
1.269, 7, 4 0 0

Cell and atoms:
a b c (Å): 5.074 5.074 5.074
angles (deg): 90.00 90.00 90.00
Space group Fm-3m (No. 225)
Inequivalent atoms, fractional coordinates:
Pa 0.000 0.000 0.000 [4 per cell]
C 0.000 0.000 0.500 [4 per cell]

Record 3
Structure and theoretical powder diffractogram of Y3Si3Rh (a GGA-PBE-relaxed structure; a wavelength of 1.5418 Å).
Lines closer than 0.1° are merged.

The 8 most intense peaks (2θ = 10–80°), by angle:
d_spacing, Rel. int., index
3.090, 21, 1 1 -3
2.706, 24, 3 1 -1
2.687, 100, 1 1 3
2.649, 36, 4 0 -2
2.562, 22, 3 1 -3
2.365, 29, 3 1 -4
2.204, 35, 3 1 2
2.118, 53, 0 2 0

Cell and atoms:
a b c (Å): 10.605 4.237 13.587
angles (deg): 90.00 110.81 90.00
Space group C2/m (No. 12)
Inequivalent atoms, fractional coordinates:
Y 0.022 0.000 0.375 [4 per cell]
Y 0.103 0.000 0.921 [4 per cell]
Y 0.243 0.000 0.227 [4 per cell]
Si 0.047 0.500 0.237 [4 per cell]
Si 0.113 0.500 0.075 [4 per cell]
Si 0.131 0.500 0.544 [4 per cell]
Rh 0.247 0.500 0.415 [4 per cell]

Record 4
Structure and theoretical powder diffractogram of CeNi2As2 (a GGA-PBE-relaxed structure; a wavelength of 1.5418 Å).
Lines closer than 0.1° are merged.

The 8 most intense peaks (2θ = 10–80°), by angle:
d_spacing, Rel. int., index
2.902, 26, 1 1 0
2.593, 100, 1 0 3
2.512, 93, 1 1 2
2.052, 66, 2 0 0
1.803, 26, 1 0 5
1.609, 46, 2 1 3
1.451, 21, 2 2 0
1.449, 22, 1 1 6

Cell and atoms:
a b c (Å): 4.104 4.104 10.033
angles (deg): 90.00 90.00 90.00
Space group I4/mmm (No. 139)
Inequivalent atoms, fractional coordinates:
Ce 0.000 0.000 0.000 [2 per cell]
Ni 0.000 0.500 0.250 [4 per cell]
As 0.000 0.000 0.368 [4 per cell]

Record 5
Structure and theoretical powder diffractogram of SrSb2Pd2 (a GGA-PBE-relaxed structure; a wavelength of 1.5418 Å).
Lines closer than 0.1° are merged.

The 8 most intense peaks (2θ = 10–80°), by angle:
d_spacing, Rel. int., index
2.861, 58, 1 0 3
2.837, 100, 1 1 2
2.358, 85, 2 0 0
2.098, 56, 1 1 4
1.819, 30, 2 1 3
1.667, 29, 2 2 0
1.437, 24, 3 1 2
1.305, 23, 3 1 4

Cell and atoms:
a b c (Å): 4.715 4.715 10.797
angles (deg): 90.00 90.00 90.00
Space group P4/nmm (No. 129, origin choice 2)
Inequivalent atoms, fractional coordinates:
Sr 0.250 0.250 0.241 [2 per cell]
Sb 0.250 0.250 0.874 [2 per cell]
Sb 0.250 0.750 0.500 [2 per cell]
Pd 0.250 0.250 0.628 [2 per cell]
Pd 0.250 0.750 0.000 [2 per cell]